No. 1
Structure and calculated XRD peak list of SmCrSbO6 (a structure optimized by DFT (PBE+U); Cu Kα X-rays).
Intensities are scaled so that the largest is 1000.

Structural model:
```
18
Lattice="5.199 0.000 0.000 -2.599 4.502 0.000 0.000 0.000 10.080" Properties=species:S:1:pos:R:3 pbc="T T T"
Sm 0.000 0.000 0.000
Sm 0.000 0.000 5.040
Cr 0.000 3.002 2.520
Cr 2.599 1.501 7.560
Sb 0.000 3.002 7.560
Sb 2.599 1.501 2.520
O -0.912 1.657 1.436
O -1.620 2.884 3.604
O 0.912 1.657 3.604
O -0.708 4.464 1.436
O 1.891 0.039 6.476
O 0.979 1.619 8.644
O 1.620 2.884 1.436
O 0.708 4.464 3.604
O 3.308 0.039 8.644
O 1.687 2.845 6.476
O 4.220 1.619 6.476
O 3.512 2.845 8.644
```

Peak list (10 most intense, 2θ from 15° to 90°, by intensity)
- 2θ = 26.5°, I 1000
- 2θ = 50.4°, I 387
- 2θ = 34.5°, I 333
- 2θ = 44.1°, I 237
- 2θ = 57.1°, I 227
- 2θ = 61.8°, I 127
- 2θ = 58.7°, I 100
- 2θ = 79.0°, I 97
- 2θ = 21.6°, I 85
- 2θ = 80.3°, I 84

---

No. 2
Structure and calculated XRD peak list of Tb2CrSbO7 (a structure optimized by DFT (PBE+U); Cu Kα X-rays).
Intensities are scaled so that the largest is 1000.

Structural model:
```
22
Lattice="-3.638 3.677 5.146 3.638 -3.677 5.146 3.638 3.677 -5.146" Properties=species:S:1:pos:R:3 pbc="T T T"
Tb 0.000 0.000 0.000
Tb -1.819 1.838 2.573
Tb 0.000 3.677 0.000
Tb 1.819 1.838 2.573
Cr 1.819 1.838 -2.573
Cr 1.819 -1.838 2.573
Sb 3.638 0.000 0.000
Sb 0.000 0.000 5.146
O 2.149 -0.275 1.297
O 5.127 -0.275 1.297
O 3.638 -1.838 3.499
O 3.638 1.838 0.833
O 2.149 3.402 -1.297
O 1.489 -0.275 3.849
O 0.000 1.838 1.312
O 3.638 1.838 3.835
O 2.149 3.952 1.297
O 1.489 0.275 6.443
O 0.000 1.838 4.313
O 0.000 5.515 1.648
O -1.489 3.952 3.849
O 1.489 3.952 3.849
```

Peak list (10 most intense, 2θ from 15° to 90°, by intensity)
- 2θ = 29.9°, I 1000
- 2θ = 30.1°, I 997
- 2θ = 50.0°, I 629
- 2θ = 34.7°, I 427
- 2θ = 59.5°, I 419
- 2θ = 59.1°, I 287
- 2θ = 34.9°, I 209
- 2θ = 49.6°, I 164
- 2θ = 50.2°, I 153
- 2θ = 59.6°, I 138

---

No. 3
Structure and calculated XRD peak list of Ti3Cr3Sb2O16 (a structure optimized by DFT (PBE+U); Cu Kα X-rays).
Intensities are scaled so that the largest is 1000.

Structural model:
```
24
Lattice="5.959 0.000 0.000 -2.979 5.194 0.000 -0.014 -0.032 9.345" Properties=species:S:1:pos:R:3 pbc="T T T"
Ti 0.000 0.000 0.000
Ti -1.476 2.552 9.316
Ti -1.514 4.357 4.543
Cr 1.449 2.532 9.304
Cr 1.442 4.240 4.755
Cr 3.018 1.650 4.635
Sb 0.045 1.757 2.583
Sb 3.008 -0.016 7.248
O 0.028 0.034 3.634
O -1.418 2.596 3.640
O -0.067 1.648 8.321
O -1.418 4.331 8.341
O 1.292 0.955 1.183
O -0.012 3.223 1.169
O 1.701 0.657 5.833
O 0.049 3.637 5.866
O 0.063 5.070 3.682
O 1.513 2.566 3.625
O 1.483 4.338 8.322
O 3.016 1.675 8.293
O 4.313 0.673 5.846
O 2.977 3.446 5.487
O 3.015 3.466 0.843
O 4.683 0.985 1.196
```

Peak list (10 most intense, 2θ from 15° to 90°, by intensity)
- 2θ = 19.6°, I 1000
- 2θ = 19.6°, I 493
- 2θ = 35.7°, I 313
- 2θ = 25.7°, I 310
- 2θ = 45.6°, I 226
- 2θ = 33.5°, I 224
- 2θ = 33.6°, I 218
- 2θ = 35.6°, I 206
- 2θ = 62.0°, I 197
- 2θ = 36.1°, I 192

---

No. 4
Structure and calculated XRD peak list of Cr5Si4O14 (a structure optimized by DFT (PBE+U); Cu Kα X-rays).
Intensities are scaled so that the largest is 1000.

Structural model:
```
23
Lattice="5.642 0.000 0.000 -0.131 7.824 0.000 -2.443 -3.858 6.677" Properties=species:S:1:pos:R:3 pbc="T T T"
Cr 0.000 0.000 0.000
Cr -0.543 5.178 2.242
Cr 0.755 0.662 3.047
Cr 2.313 3.305 3.630
Cr 3.611 -1.211 4.435
Si -0.690 1.835 5.058
Si 2.046 5.755 1.508
Si 1.022 -1.788 5.169
Si 3.758 2.132 1.619
O -0.485 1.282 1.525
O -0.901 0.440 4.216
O -0.349 -2.327 4.532
O 0.752 6.853 1.649
O 0.605 2.370 4.182
O 1.376 4.439 2.253
O -0.194 1.611 6.593
O 3.262 2.356 0.084
O 1.692 -0.472 4.424
O 2.463 1.597 2.495
O 2.316 -2.887 5.028
O 3.417 6.294 2.145
O 3.969 3.527 2.461
O 3.552 2.685 5.152
```

Peak list (10 most intense, 2θ from 15° to 90°, by intensity)
- 2θ = 29.0°, I 1000
- 2θ = 32.6°, I 792
- 2θ = 35.2°, I 792
- 2θ = 19.6°, I 676
- 2θ = 34.6°, I 497
- 2θ = 23.1°, I 414
- 2θ = 28.2°, I 414
- 2θ = 22.9°, I 357
- 2θ = 47.2°, I 252
- 2θ = 57.8°, I 246

---

No. 5
Structure and calculated XRD peak list of Cr2SiO4 (a structure optimized by DFT (PBE+U); Cu Kα X-rays).
Intensities are scaled so that the largest is 1000.

Structural model:
```
14
Lattice="0.000 4.999 5.708 2.874 0.000 5.708 2.874 4.999 0.000" Properties=species:S:1:pos:R:3 pbc="T T T"
Cr 2.156 0.321 4.281
Cr 3.593 2.821 7.135
Cr 2.156 7.177 4.281
Cr 3.593 9.677 7.135
Si 2.156 3.749 4.281
Si 3.593 6.249 7.135
O 3.118 2.729 5.149
O 3.118 4.770 3.413
O 4.555 5.228 6.267
O 1.193 2.729 3.413
O 4.555 7.270 8.003
O 1.193 4.770 5.149
O 2.630 5.228 8.003
O 2.630 7.270 6.267
```

Peak list (10 most intense, 2θ from 15° to 90°, by intensity)
- 2θ = 32.0°, I 1000
- 2θ = 35.0°, I 473
- 2θ = 51.0°, I 350
- 2θ = 31.3°, I 306
- 2θ = 58.1°, I 188
- 2θ = 55.9°, I 185
- 2θ = 35.9°, I 165
- 2θ = 39.2°, I 160
- 2θ = 60.8°, I 112
- 2θ = 64.7°, I 112

---

No. 6
Structure and calculated XRD peak list of CrSi4O10 (a structure optimized by DFT (PBE+U); Cu Kα X-rays).
Intensities are scaled so that the largest is 1000.

Structural model:
```
30
Lattice="7.186 0.000 0.000 -2.591 7.776 0.000 -2.070 -4.008 8.542" Properties=species:S:1:pos:R:3 pbc="T T T"
Cr 0.953 1.039 0.745
Cr 1.572 2.729 7.797
Si -2.157 5.940 2.225
Si -0.142 3.669 2.174
Si 0.473 -2.160 6.593
Si 0.045 3.767 5.235
Si 2.481 0.000 3.307
Si 2.052 5.927 1.948
Si 2.667 0.098 6.367
Si 4.683 -2.173 6.316
O -2.238 7.037 0.958
O -0.969 -1.895 5.871
O -1.461 4.551 1.760
O -0.163 2.379 1.168
O 1.323 -1.180 3.421
O -0.248 3.207 3.736
O -1.333 4.429 5.820
O 0.228 -2.615 8.163
O 1.934 1.155 2.314
O 1.207 4.546 1.927
O 1.318 -0.779 6.615
O 0.591 2.613 6.227
O 2.297 6.383 0.379
O 3.858 -0.661 2.722
O 2.774 0.560 4.806
O 1.202 4.947 5.120
O 2.688 1.388 7.374
O 3.986 -0.783 6.782
O 3.494 5.663 2.670
O 4.763 -3.270 7.584
```

Peak list (10 most intense, 2θ from 15° to 90°, by intensity)
- 2θ = 19.8°, I 1000
- 2θ = 23.2°, I 845
- 2θ = 28.4°, I 664
- 2θ = 17.5°, I 522
- 2θ = 20.8°, I 457
- 2θ = 18.0°, I 308
- 2θ = 35.1°, I 281
- 2θ = 30.0°, I 221
- 2θ = 32.3°, I 201
- 2θ = 33.3°, I 185

---

No. 7
Structure and calculated XRD peak list of Sr3CrSi2O8 (a structure optimized by DFT (PBE+U); Cu Kα X-rays).
Intensities are scaled so that the largest is 1000.

Structural model:
```
14
Lattice="5.567 0.000 0.000 -2.784 4.821 0.000 0.000 0.000 7.052" Properties=species:S:1:pos:R:3 pbc="T T T"
Sr 0.000 0.000 0.000
Sr 0.000 3.214 4.651
Sr 2.784 1.607 2.401
Cr 0.000 0.000 3.526
Si 0.000 3.214 1.525
Si 2.784 1.607 5.527
O 0.000 1.685 2.173
O -1.325 3.979 2.173
O 0.000 3.214 6.969
O 1.459 0.842 4.879
O 1.325 3.979 2.173
O 2.784 1.607 0.082
O 4.108 0.842 4.879
O 2.784 3.137 4.879
```

Peak list (10 most intense, 2θ from 15° to 90°, by intensity)
- 2θ = 32.2°, I 1000
- 2θ = 31.4°, I 750
- 2θ = 45.6°, I 483
- 2θ = 56.9°, I 267
- 2θ = 39.5°, I 251
- 2θ = 57.3°, I 180
- 2θ = 67.3°, I 178
- 2θ = 22.3°, I 172
- 2θ = 65.6°, I 133
- 2θ = 55.5°, I 131

---

No. 8
Structure and calculated XRD peak list of Tl2CrSi2O6 (a structure optimized by DFT (PBE+U); Cu Kα X-rays).
Intensities are scaled so that the largest is 1000.

Structural model:
```
11
Lattice="2.837 1.638 5.703 -2.837 1.638 5.703 0.000 -3.276 5.703" Properties=species:S:1:pos:R:3 pbc="T T T"
Tl 0.000 0.000 3.651
Tl 0.000 0.000 13.458
Cr 0.000 0.000 0.000
Si 0.000 0.000 7.123
Si 0.000 0.000 9.987
O 0.000 -1.597 6.891
O -1.383 0.799 6.891
O -1.383 -0.799 10.218
O 1.383 0.799 6.891
O 1.383 -0.799 10.218
O 0.000 1.597 10.218
```

Peak list (10 most intense, 2θ from 15° to 90°, by intensity)
- 2θ = 31.9°, I 1000
- 2θ = 31.5°, I 987
- 2θ = 20.8°, I 656
- 2θ = 56.4°, I 376
- 2θ = 38.1°, I 362
- 2θ = 27.6°, I 325
- 2θ = 45.4°, I 292
- 2θ = 35.3°, I 278
- 2θ = 58.4°, I 268
- 2θ = 42.4°, I 243